# 1
Starting from a cell relaxed with PBE, the powder diffractogram of PaFe22B6 was computed for Cu Kα (λ = 1.5418 Å).

Crystal structure
```
PaFe22B6
1.0
0.0000 5.3574 5.3574
5.3574 0.0000 5.3574
5.3574 5.3574 0.0000
Pa Fe B
1 22 6
Cartesian
0.0000 0.0000 0.0000
1.8699 1.8699 0.0000
3.4875 3.4875 0.0000
1.8699 0.0000 1.8699
5.3574 3.4875 1.8699
3.4875 0.0000 3.4875
5.3574 1.8699 3.4875
6.6137 4.1011 4.1011
2.6787 2.6787 2.6787
0.0000 1.8699 1.8699
3.4875 5.3574 1.8699
3.4875 1.8699 5.3574
4.1011 4.1011 4.1011
6.6137 6.6137 4.1011
6.6137 4.1011 6.6137
4.1011 6.6137 4.1011
4.1011 4.1011 6.6137
6.6137 6.6137 6.6137
0.0000 3.4875 3.4875
1.8699 5.3574 3.4875
1.8699 3.4875 5.3574
8.0360 8.0360 8.0360
4.1011 6.6137 6.6137
5.3574 5.3574 2.9364
5.3574 2.9364 5.3574
7.7783 5.3574 5.3574
2.9364 5.3574 5.3574
5.3574 7.7783 5.3574
5.3574 5.3574 7.7783
```

Most intense lines, 15° ≤ 2θ ≤ 90°, most intense first:
- 2θ = 43.91°, 2.062 Å, intensity 100
- 2θ = 41.28°, 2.187 Å, intensity 38
- 2θ = 48.03°, 1.894 Å, intensity 25
- 2θ = 75.25°, 1.263 Å, intensity 23
- 2θ = 27.61°, 3.231 Å, intensity 22
- 2θ = 77.09°, 1.237 Å, intensity 16
- 2θ = 51.15°, 1.786 Å, intensity 16
- 2θ = 89.65°, 1.094 Å, intensity 14

=====

# 2
Starting from a cell relaxed with PBE, the powder diffractogram of HgMo6Se4S4 was computed for Cu Kα (λ = 1.5418 Å).

Crystal structure
```
HgMo6Se4S4
1.0
6.6841 0.0000 0.0000
-0.3002 6.7268 0.0000
-0.2040 -0.1748 6.7470
Hg Mo Se S
1 6 4 4
Cartesian
0.0000 0.0000 0.0000
1.2974 2.3173 4.0350
2.6035 3.3365 1.8475
2.6738 4.7661 4.2107
3.6465 1.1560 3.0621
3.6636 2.5094 5.4605
5.0068 3.5554 3.2386
1.4223 1.0805 1.8488
1.4105 3.6943 6.1872
3.9428 5.5249 2.0093
4.8586 4.7522 5.4456
0.6668 4.4097 2.8789
2.4351 0.4114 5.0978
4.7330 2.2657 1.1522
5.6289 1.4654 4.4310
```

Most intense lines, 15° ≤ 2θ ≤ 90°, most intense first:
- 2θ = 18.34°, 4.838 Å, intensity 100
- 2θ = 29.35°, 3.044 Å, intensity 66
- 2θ = 29.25°, 3.053 Å, intensity 48
- 2θ = 44.33°, 2.044 Å, intensity 48
- 2θ = 18.40°, 4.821 Å, intensity 44
- 2θ = 42.84°, 2.111 Å, intensity 44
- 2θ = 39.53°, 2.280 Å, intensity 39
- 2θ = 41.39°, 2.181 Å, intensity 36

=====

# 3
Starting from a cell relaxed with PBE, the powder diffractogram of Sm8Tl3S3N was computed for Cu Kα (λ = 1.5418 Å).

Crystal structure
```
Sm8Tl3S3N
1.0
6.7908 -3.9268 0.0000
6.7908 3.9268 0.0000
-4.5177 0.0000 7.8672
Sm Tl S N
8 3 3 1
Cartesian
-0.2103 0.0000 5.4040
3.5089 2.1505 5.4031
5.5550 2.1505 2.4641
2.2671 0.0000 2.3233
6.7968 0.0000 5.5440
3.5089 -2.1505 5.4031
5.5550 -2.1505 2.4641
9.2742 0.0000 2.4633
0.0000 0.0000 0.0000
3.3954 1.9634 0.0000
3.3954 -1.9634 0.0000
1.1365 1.9634 3.9336
1.1365 -1.9634 3.9336
4.5320 0.0000 3.9336
-2.2589 0.0000 3.9336
```

Most intense lines, 15° ≤ 2θ ≤ 90°, most intense first:
- 2θ = 30.35°, 2.945 Å, intensity 100
- 2θ = 32.47°, 2.758 Å, intensity 37
- 2θ = 40.49°, 2.228 Å, intensity 31
- 2θ = 46.30°, 1.961 Å, intensity 23
- 2θ = 34.19°, 2.622 Å, intensity 19
- 2θ = 26.50°, 3.363 Å, intensity 18
- 2θ = 56.35°, 1.633 Å, intensity 15
- 2θ = 58.75°, 1.572 Å, intensity 15